Calculated X-ray powder pattern
Compound: Hf6Pd3N2
Radiation: Cu Kα
Structure: a crystal structure in Alexandria, relaxed with PBE

Structure:
Cell lengths 3.2287, 3.2287, 61.5757 Å; angles 90.00, 90.00, 120.00 degrees
Space group R-3m (No. 166, hexagonal axes)
Unique sites:
Hf 0.0000 0.0000 0.1041
Hf 0.0000 0.0000 0.1879
Hf 0.0000 0.0000 0.3678
Pd 0.0000 0.0000 0.0000
Pd 0.0000 0.0000 0.2657
N 0.0000 0.0000 0.4576

Principal peaks in the range 10 to 90 degrees two-theta, low angle first:
d/Å, I_rel
2.501, 100
2.408, 19
2.281, 16
2.262, 15
2.117, 20
1.978, 17
1.614, 36
1.402, 16
1.356, 15
1.318, 17